# 1
Structure and simulated X-ray powder pattern of Ce2Te2O (a GGA-PBE-relaxed structure; Cu Kα (λ = 1.5418 Å)).

Crystal structure
```
Ce2Te2O
1.0
2.0821 -8.8812 0.0000
2.0821 8.8812 0.0000
0.0000 0.0000 7.8910
Ce Te O
4 4 2
direct
0.0783 0.9217 0.5000
0.3482 0.6518 0.6375
0.6518 0.3482 0.1375
0.9217 0.0783 0.0000
0.2831 0.7169 0.0156
0.4642 0.5358 0.3162
0.5358 0.4642 0.8162
0.7169 0.2831 0.5156
0.1177 0.8823 0.2319
0.8823 0.1177 0.7319
```

Largest 10 diffraction maxima, sorted by position, 2θ = 10–90°:
two_theta  I (rel.)
24.69  31
28.54  100
31.64  28
32.30  24
33.15  32
34.80  44
35.10  28
35.60  36
42.29  25
43.47  35

***

# 2
Structure and simulated X-ray powder pattern of TmLuCd4 (a GGA-PBE-relaxed structure; Cu Kα (λ = 1.5418 Å)).

Crystal structure
```
TmLuCd4
1.0
0.0000 4.1408 4.1408
4.1408 0.0000 4.1408
4.1408 4.1408 0.0000
Tm Lu Cd
1 1 4
direct
0.0000 0.0000 0.0000
0.2500 0.2500 0.2500
0.1249 0.6250 0.6250
0.6250 0.1249 0.6250
0.6250 0.6250 0.1249
0.6250 0.6250 0.6250
```

Largest 10 diffraction maxima, sorted by position, 2θ = 10–90°:
two_theta  I (rel.)
30.53  40
35.97  100
37.62  28
54.26  16
57.85  33
63.55  27
72.14  7
75.24  11
76.26  10
88.31  9

***

# 3
Structure and simulated X-ray powder pattern of Pm3Dy2Tl3 (a GGA-PBE-relaxed structure; Cu Kα (λ = 1.5418 Å)).

Crystal structure
```
Pm3Dy2Tl3
1.0
-2.2194 2.5285 10.5638
2.2194 -2.5285 10.5638
2.2194 2.5285 -10.5638
Pm Dy Tl
3 2 3
direct
0.0000 0.0000 0.0000
0.3801 0.8801 0.5000
0.6199 0.1199 0.5000
0.2369 0.2369 0.0000
0.7631 0.7631 0.0000
0.1293 0.6293 0.5000
0.5000 0.5000 0.0000
0.8707 0.3707 0.5000
```

Largest 10 diffraction maxima, sorted by position, 2θ = 10–90°:
two_theta  I (rel.)
31.72  100
33.94  19
35.50  19
40.65  13
49.94  13
55.06  11
59.35  13
61.40  15
66.28  11
68.41  11

***

# 4
Structure and simulated X-ray powder pattern of Ac5Sm7 (a GGA-PBE-relaxed structure; Cu Kα (λ = 1.5418 Å)).

Crystal structure
```
Ac5Sm7
1.0
9.8239 -1.9081 0.0000
9.8239 1.9081 0.0000
-6.6257 0.0000 12.2303
Ac Sm
5 7
direct
0.0000 0.0000 0.0000
0.1625 0.1625 0.4933
0.3056 0.3056 0.2466
0.6944 0.6944 0.7534
0.8375 0.8375 0.5067
0.0270 0.0270 0.7517
0.3346 0.3346 0.0047
0.3630 0.3630 0.7531
0.5000 0.5000 0.5000
0.6370 0.6370 0.2469
0.6654 0.6654 0.9953
0.9730 0.9730 0.2483
```

Largest 10 diffraction maxima, sorted by position, 2θ = 10–90°:
two_theta  I (rel.)
28.02  40
28.22  19
29.21  50
30.81  100
30.90  27
31.06  24
34.98  16
48.01  26
52.73  16
56.88  16

***

Please write out number 1 again, unchanged.
Structure and simulated X-ray powder pattern of Ce2Te2O (a GGA-PBE-relaxed structure; Cu Kα (λ = 1.5418 Å)).

Crystal structure
```
Ce2Te2O
1.0
2.0821 -8.8812 0.0000
2.0821 8.8812 0.0000
0.0000 0.0000 7.8910
Ce Te O
4 4 2
direct
0.0783 0.9217 0.5000
0.3482 0.6518 0.6375
0.6518 0.3482 0.1375
0.9217 0.0783 0.0000
0.2831 0.7169 0.0156
0.4642 0.5358 0.3162
0.5358 0.4642 0.8162
0.7169 0.2831 0.5156
0.1177 0.8823 0.2319
0.8823 0.1177 0.7319
```

Largest 10 diffraction maxima, sorted by position, 2θ = 10–90°:
two_theta  I (rel.)
24.69  31
28.54  100
31.64  28
32.30  24
33.15  32
34.80  44
35.10  28
35.60  36
42.29  25
43.47  35